1.
Starting from the GGA-PBE geometry in Alexandria, the powder XRD pattern of Mn6Ni3N was simulated for a wavelength of 1.5418 Å.
Intensities are scaled so that the largest is 100.

Lattice parameters (Å, degrees): 6.190 6.190 6.190 77.83 77.83 77.83
Element x y z (fractional)
Mn: 0.031 0.031 0.683
Mn: 0.031 0.683 0.031
Mn: 0.294 0.294 0.645
Mn: 0.294 0.645 0.294
Mn: 0.317 0.969 0.969
Mn: 0.355 0.706 0.706
Mn: 0.645 0.294 0.294
Mn: 0.683 0.031 0.031
Mn: 0.706 0.355 0.706
Mn: 0.706 0.706 0.355
Mn: 0.969 0.317 0.969
Mn: 0.969 0.969 0.317
Ni: 0.031 0.360 0.360
Ni: 0.360 0.031 0.360
Ni: 0.360 0.360 0.031
Ni: 0.640 0.640 0.969
Ni: 0.640 0.969 0.640
Ni: 0.969 0.640 0.640
N: 0.000 0.000 0.000
N: 0.500 0.500 0.500

Principal peaks in the range 2θ from 15° to 90°, low angle first:
d/Å  2θ (°)  intensity
2.365  38.05  0.8
2.245  40.17  22.5
2.130  42.43  26.6
1.986  45.68  100.0
1.545  59.85  15.0
1.296  73.00  14.8
1.200  79.93  16.2
1.122  86.76  2.0
1.107  88.25  16.0



2.
Starting from the GGA-PBE geometry in Alexandria, the powder XRD pattern of YSc4Tl5 was simulated for a wavelength of 1.5418 Å.
Intensities are scaled so that the largest is 100.

Lattice parameters (Å, degrees): 3.616 3.616 18.503 90.00 90.00 90.00
Element x y z (fractional)
Y: 0.000 0.000 0.000
Sc: 0.000 0.000 0.208
Sc: 0.000 0.000 0.403
Sc: 0.000 0.000 0.597
Sc: 0.000 0.000 0.792
Tl: 0.500 0.500 0.111
Tl: 0.500 0.500 0.306
Tl: 0.500 0.500 0.500
Tl: 0.500 0.500 0.694
Tl: 0.500 0.500 0.889

Principal peaks in the range 2θ from 15° to 90°, low angle first:
d/Å  2θ (°)  intensity
3.701  24.05  19.8
3.616  24.62  40.4
2.586  34.68  100.0
2.557  35.09  51.0
2.104  43.00  18.3
1.808  50.48  18.2
1.625  56.66  8.5
1.617  56.94  9.0
1.499  61.90  15.9
1.482  62.70  35.9
1.293  73.19  9.7
1.144  84.78  8.3



> Which formula does entry 1 have?

Mn6Ni3N